Record 1
This entry pairs a crystal structure of BaUPtS4 with its theoretical X-ray diffraction stick pattern. Radiation: λ = 1.5418 Å (Cu Kα). Structure: the GGA-PBE geometry in Alexandria.
Neutral-atom scattering factors, no anomalous dispersion.

Principal peaks in the range 2θ from 15° to 90°, in order of rising 2θ:
2θ/deg	intensity
18.07	67.4
26.14	83.8
26.51	53.6
29.00	54.0
29.16	90.8
33.07	96.4
33.98	100.0
41.59	72.4

Structure:
abc: 6.462 6.125 8.610
angles: 90.00 107.61 90.00
Fractional coordinates of all 14 atoms:
Ba1 0.244 0.250 0.051
Ba2 0.756 0.750 0.949
U1 0.244 0.250 0.554
U2 0.756 0.750 0.446
Pt1 0.226 0.750 0.344
Pt2 0.774 0.250 0.656
S1 0.040 0.523 0.712
S2 0.040 0.977 0.712
S3 0.443 0.750 0.157
S4 0.466 0.750 0.604
S5 0.534 0.250 0.396
S6 0.557 0.250 0.843
S7 0.960 0.023 0.288
S8 0.960 0.477 0.288

---

Record 2
This entry pairs a crystal structure of CePmBi with its theoretical X-ray diffraction stick pattern. Radiation: λ = 1.5418 Å (Cu Kα). Structure: the GGA-PBE geometry in Alexandria.
Neutral-atom scattering factors, no anomalous dispersion.

Principal peaks in the range 2θ from 15° to 90°, in order of rising 2θ:
2θ/deg	intensity
28.06	24.6
29.76	100.0
31.79	25.7
34.51	86.0
40.10	51.1
50.69	30.9
66.55	27.1
69.28	23.3

Structure:
abc: 9.567 9.567 9.567
angles: 152.81 152.81 38.83
Fractional coordinates of all 6 atoms:
Ce1 0.000 0.500 0.500
Ce2 0.500 0.000 0.500
Pm1 0.178 0.178 0.000
Pm2 0.822 0.822 0.000
Bi1 0.361 0.361 0.000
Bi2 0.639 0.639 0.000

---

Record 3
This entry pairs a crystal structure of HgAs3Pb with its theoretical X-ray diffraction stick pattern. Radiation: λ = 1.5418 Å (Cu Kα). Structure: the GGA-PBE geometry in Alexandria.
Neutral-atom scattering factors, no anomalous dispersion.

Principal peaks in the range 2θ from 15° to 90°, in order of rising 2θ:
2θ/deg	intensity
24.06	100.0
29.58	21.6
34.29	79.1
42.33	47.6
49.27	57.3
55.56	21.8
66.94	25.4
82.47	26.5

Structure:
abc: 5.231 5.231 5.231
angles: 90.00 90.00 90.00
Fractional coordinates of all 5 atoms:
Hg1 0.000 0.000 0.000
As1 0.000 0.000 0.500
As2 0.000 0.500 0.000
As3 0.500 0.000 0.000
Pb1 0.500 0.500 0.500

---

Record 4
This entry pairs a crystal structure of Ac2Nd6Sm5 with its theoretical X-ray diffraction stick pattern. Radiation: λ = 1.5418 Å (Cu Kα). Structure: the GGA-PBE geometry in Alexandria.
Neutral-atom scattering factors, no anomalous dispersion.

Principal peaks in the range 2θ from 15° to 90°, in order of rising 2θ:
2θ/deg	intensity
29.62	60.4
30.34	45.4
30.61	41.1
30.76	58.4
30.90	100.0
32.95	38.4
35.11	27.4
58.86	26.8

Structure:
abc: 12.189 20.952 3.726
angles: 90.00 90.00 90.00
Fractional coordinates of all 26 atoms:
Ac1 0.167 0.220 0.000
Ac2 0.333 0.720 0.000
Ac3 0.667 0.280 0.000
Ac4 0.833 0.780 0.000
Nd1 0.058 0.925 0.000
Nd2 0.074 0.637 0.000
Nd3 0.183 0.379 0.500
Nd4 0.317 0.879 0.500
Nd5 0.426 0.137 0.000
Nd6 0.442 0.425 0.000
Nd7 0.558 0.575 0.000
Nd8 0.574 0.863 0.000
Nd9 0.683 0.121 0.500
Nd10 0.817 0.621 0.500
Nd11 0.926 0.363 0.000
Nd12 0.942 0.075 0.000
Sm1 0.000 0.500 0.500
Sm2 0.093 0.782 0.500
Sm3 0.202 0.054 0.500
Sm4 0.298 0.554 0.500
Sm5 0.407 0.282 0.500
Sm6 0.500 0.000 0.500
Sm7 0.593 0.718 0.500
Sm8 0.702 0.446 0.500
Sm9 0.798 0.946 0.500
Sm10 0.907 0.218 0.500

---

Record 5
This entry pairs a crystal structure of Ce5SiRu5 with its theoretical X-ray diffraction stick pattern. Radiation: λ = 1.5418 Å (Cu Kα). Structure: the GGA-PBE geometry in Alexandria.
Neutral-atom scattering factors, no anomalous dispersion.

Principal peaks in the range 2θ from 15° to 90°, in order of rising 2θ:
2θ/deg	intensity
32.11	99.5
32.34	97.1
34.34	100.0
43.74	21.9
43.89	48.4
47.72	65.1
47.89	64.1
56.87	53.4

Structure:
abc: 6.557 6.557 8.252
angles: 108.70 108.70 46.94
Fractional coordinates of all 11 atoms:
Ce1 0.000 0.000 0.000
Ce2 0.324 0.324 0.169
Ce3 0.326 0.326 0.657
Ce4 0.674 0.674 0.343
Ce5 0.676 0.676 0.831
Si1 0.000 0.000 0.500
Ru1 0.123 0.123 0.319
Ru2 0.136 0.136 0.806
Ru3 0.500 0.500 0.500
Ru4 0.864 0.864 0.194
Ru5 0.877 0.877 0.681

---

Record 6
This entry pairs a crystal structure of MgCuSe2 with its theoretical X-ray diffraction stick pattern. Radiation: λ = 1.5418 Å (Cu Kα). Structure: the GGA-PBE geometry in Alexandria.
Neutral-atom scattering factors, no anomalous dispersion.

Principal peaks in the range 2θ from 15° to 90°, in order of rising 2θ:
2θ/deg	intensity
17.17	16.7
26.80	100.0
44.22	22.2
44.59	45.1
52.46	27.2
53.13	16.5
71.53	11.5
81.64	12.4

Structure:
abc: 7.021 7.021 7.021
angles: 131.27 131.27 71.38
Fractional coordinates of all 8 atoms:
Mg1 0.000 0.000 0.000
Mg2 0.750 0.250 0.500
Cu1 0.250 0.750 0.500
Cu2 0.500 0.500 0.000
Se1 0.153 0.625 0.028
Se2 0.375 0.403 0.528
Se3 0.597 0.125 0.972
Se4 0.875 0.847 0.472

---

Record 7
This entry pairs a crystal structure of SrScAlO4 with its theoretical X-ray diffraction stick pattern. Radiation: λ = 1.5418 Å (Cu Kα). Structure: the GGA-PBE geometry in Alexandria.
Neutral-atom scattering factors, no anomalous dispersion.

Principal peaks in the range 2θ from 15° to 90°, in order of rising 2θ:
2θ/deg	intensity
18.16	50.8
21.00	26.4
29.86	100.0
35.17	36.7
53.02	37.3
62.04	20.2
70.37	15.5
85.96	18.5

Structure:
abc: 5.984 5.984 5.984
angles: 60.00 60.00 60.00
Fractional coordinates of all 7 atoms:
Sr1 0.000 0.000 0.000
Sc1 0.750 0.750 0.750
Al1 0.500 0.500 0.500
O1 0.143 0.619 0.619
O2 0.619 0.143 0.619
O3 0.619 0.619 0.143
O4 0.619 0.619 0.619

---

Record 8
This entry pairs a crystal structure of Pa2Ga2Ge3 with its theoretical X-ray diffraction stick pattern. Radiation: λ = 1.5418 Å (Cu Kα). Structure: the GGA-PBE geometry in Alexandria.
Neutral-atom scattering factors, no anomalous dispersion.

Principal peaks in the range 2θ from 15° to 90°, in order of rising 2θ:
2θ/deg	intensity
20.91	44.3
29.74	100.0
33.35	27.6
36.64	76.7
42.56	42.1
47.88	37.5
52.78	28.2
74.00	34.8

Structure:
abc: 7.359 7.359 7.359
angles: 109.47 109.47 109.47
Fractional coordinates of all 14 atoms:
Pa1 0.000 0.025 0.500
Pa2 0.025 0.500 0.000
Pa3 0.475 0.475 0.475
Pa4 0.500 0.000 0.025
Ga1 0.000 0.629 0.500
Ga2 0.500 0.000 0.629
Ga3 0.629 0.500 0.000
Ga4 0.871 0.871 0.871
Ge1 0.235 0.985 0.250
Ge2 0.250 0.235 0.985
Ge3 0.265 0.515 0.750
Ge4 0.515 0.750 0.265
Ge5 0.750 0.265 0.515
Ge6 0.985 0.250 0.235

---

Record 9
This entry pairs a crystal structure of TaTl2HS4 with its theoretical X-ray diffraction stick pattern. Radiation: λ = 1.5418 Å (Cu Kα). Structure: the GGA-PBE geometry in Alexandria.
Neutral-atom scattering factors, no anomalous dispersion.

Principal peaks in the range 2θ from 15° to 90°, in order of rising 2θ:
2θ/deg	intensity
16.36	51.3
17.99	100.0
23.49	61.0
25.91	57.3
26.66	47.6
29.24	49.3
29.48	48.3
34.66	40.7

Structure:
abc: 6.149 6.493 6.979
angles: 96.54 114.83 106.82
Fractional coordinates of all 8 atoms:
Ta1 0.000 0.000 0.000
Tl1 0.454 0.608 0.377
Tl2 0.991 0.280 0.563
H1 0.467 0.841 0.914
S1 0.058 0.884 0.711
S2 0.360 0.080 0.322
S3 0.625 0.723 0.981
S4 0.932 0.319 0.969

---

Record 10
This entry pairs a crystal structure of FeRe4Tc with its theoretical X-ray diffraction stick pattern. Radiation: λ = 1.5418 Å (Cu Kα). Structure: the GGA-PBE geometry in Alexandria.
Neutral-atom scattering factors, no anomalous dispersion.

Principal peaks in the range 2θ from 15° to 90°, in order of rising 2θ:
2θ/deg	intensity
39.36	58.0
40.92	50.8
43.30	100.0
43.39	49.9
49.34	20.3
68.57	32.9
82.94	19.8
83.15	19.6

Structure:
abc: 4.741 4.741 9.247
angles: 105.03 105.03 60.02
Fractional coordinates of all 12 atoms:
Fe1 0.087 0.913 0.750
Fe2 0.913 0.087 0.250
Re1 0.161 0.678 0.002
Re2 0.250 0.417 0.250
Re3 0.322 0.839 0.498
Re4 0.417 0.250 0.750
Re5 0.583 0.750 0.250
Re6 0.678 0.161 0.502
Re7 0.750 0.583 0.750
Re8 0.839 0.322 0.998
Tc1 0.000 0.500 0.500
Tc2 0.500 0.000 0.000

---

Record 11
This entry pairs a crystal structure of La5Pm3Tm with its theoretical X-ray diffraction stick pattern. Radiation: λ = 1.5418 Å (Cu Kα). Structure: the GGA-PBE geometry in Alexandria.
Neutral-atom scattering factors, no anomalous dispersion.

Principal peaks in the range 2θ from 15° to 90°, in order of rising 2θ:
2θ/deg	intensity
27.74	56.1
27.88	47.5
30.25	100.0
33.21	12.3
36.06	18.8
41.35	23.9
50.65	24.4
55.22	11.8

Structure:
abc: 10.090 10.090 10.090
angles: 126.41 126.41 79.21
Fractional coordinates of all 18 atoms:
La1 0.000 0.000 0.000
La2 0.070 0.570 0.923
La3 0.147 0.070 0.500
La4 0.353 0.853 0.923
La5 0.430 0.353 0.500
La6 0.500 0.500 0.000
La7 0.570 0.647 0.500
La8 0.647 0.147 0.077
La9 0.853 0.930 0.500
La10 0.930 0.430 0.077
Pm1 0.114 0.386 0.500
Pm2 0.250 0.250 0.000
Pm3 0.386 0.886 0.271
Pm4 0.614 0.114 0.729
Pm5 0.750 0.750 0.000
Pm6 0.886 0.614 0.500
Tm1 0.250 0.750 0.500
Tm2 0.750 0.250 0.500

---

Record 12
This entry pairs a crystal structure of LiMgIn2S4 with its theoretical X-ray diffraction stick pattern. Radiation: λ = 1.5418 Å (Cu Kα). Structure: the GGA-PBE geometry in Alexandria.
Neutral-atom scattering factors, no anomalous dispersion.

Principal peaks in the range 2θ from 15° to 90°, in order of rising 2θ:
2θ/deg	intensity
16.71	57.2
19.50	45.0
21.89	34.3
25.78	81.4
27.67	100.0
34.07	49.5
45.44	69.0
48.98	38.5

Structure:
abc: 6.991 6.680 6.100
angles: 66.15 60.91 52.94
Fractional coordinates of all 8 atoms:
Li1 0.000 0.000 0.000
Mg1 0.499 0.499 0.501
In1 0.257 0.257 0.243
In2 0.757 0.757 0.743
S1 0.118 0.619 0.882
S2 0.361 0.851 0.149
S3 0.619 0.118 0.381
S4 0.851 0.361 0.639

---

Record 13
This entry pairs a crystal structure of CaTb8Pm3 with its theoretical X-ray diffraction stick pattern. Radiation: λ = 1.5418 Å (Cu Kα). Structure: the GGA-PBE geometry in Alexandria.
Neutral-atom scattering factors, no anomalous dispersion.

Principal peaks in the range 2θ from 15° to 90°, in order of rising 2θ:
2θ/deg	intensity
15.40	29.4
27.03	32.2
31.01	78.6
31.23	100.0
31.75	93.0
35.46	45.7
51.15	25.5
65.15	30.9

Structure:
abc: 8.766 8.766 8.766
angles: 136.75 97.95 97.66
Fractional coordinates of all 12 atoms:
Ca1 0.000 0.000 0.000
Tb1 0.076 0.251 0.826
Tb2 0.254 0.252 0.506
Tb3 0.254 0.748 0.001
Tb4 0.425 0.251 0.174
Tb5 0.575 0.749 0.826
Tb6 0.746 0.252 0.999
Tb7 0.746 0.748 0.494
Tb8 0.924 0.749 0.174
Pm1 0.259 0.759 0.500
Pm2 0.500 0.500 0.000
Pm3 0.741 0.241 0.500